This entry pairs a crystal structure of Na3VO3 with its simulated powder diffractogram. Radiation: Cu Ka. Structure: a crystal structure in the Materials Project, relaxed with GGA+U.
No peak broadening, texture or thermal motion is included.

Top 10 peaks for 10 to 90 degrees two-theta, most intense first:
2θ (°)	Rel. int.
21.79	100
31.99	62
51.04	48
31.05	36
41.05	35
16.29	34
28.93	33
28.55	29
41.24	29
42.56	28

```
28
Lattice="6.863 -5.440 0.000 6.863 5.440 0.000 -2.693 0.000 5.553" Properties=species:S:1:pos:R:3 pbc="T T T"
Na 4.843 4.790 4.165
Na 2.563 0.722 0.422
Na 6.190 3.050 1.388
Na 1.216 -0.722 3.199
Na 3.080 0.923 5.270
Na 4.427 -0.923 2.493
Na 6.606 0.923 3.060
Na 7.953 -0.923 0.283
Na 9.817 0.722 2.355
Na 4.843 -3.050 4.165
Na 8.470 -0.722 5.131
Na 6.190 -4.790 1.388
V 3.440 2.775 2.262
V 8.939 2.775 0.515
V 2.094 -2.775 5.038
V 7.593 -2.775 3.292
O -0.211 1.051 3.678
O 2.580 2.852 4.043
O 1.136 -1.051 0.901
O 4.514 1.285 1.753
O 7.107 2.852 4.287
O 7.866 1.285 1.023
O 3.167 -1.285 4.530
O 3.927 -2.852 1.266
O 6.519 -1.285 3.800
O 9.898 1.051 4.652
O 8.453 -2.852 1.511
O 11.244 -1.051 1.876
```

This entry pairs a crystal structure of Mg6CrFeO8 with its simulated powder diffractogram. Radiation: Cu Ka. Structure: a crystal structure in the Materials Project, relaxed with GGA+U.
No peak broadening, texture or thermal motion is included.

Top 10 peaks for 10 to 90 degrees two-theta, most intense first:
2θ (°)	Rel. int.
42.08	100
61.02	56
36.23	24
76.89	17
20.68	17
29.41	14
73.07	12
47.33	6
52.17	5
65.16	3

```
16
Lattice="4.294 0.000 0.000 0.000 4.294 0.000 0.000 0.000 8.592" Properties=species:S:1:pos:R:3 pbc="T T T"
Mg 0.000 0.000 0.000
Mg 0.000 0.000 4.296
Mg 0.000 2.147 2.129
Mg 0.000 2.147 6.464
Mg 2.147 0.000 2.129
Mg 2.147 0.000 6.464
Cr 2.147 2.147 4.296
Fe 2.147 2.147 0.000
O 0.000 0.000 2.147
O 0.000 0.000 6.445
O 0.000 2.147 0.000
O 0.000 2.147 4.296
O 2.147 0.000 0.000
O 2.147 0.000 4.296
O 2.147 2.147 2.249
O 2.147 2.147 6.343
```

This entry pairs a crystal structure of VOF with its simulated powder diffractogram. Radiation: Cu Ka. Structure: a crystal structure in the Materials Project, relaxed with GGA+U.
No peak broadening, texture or thermal motion is included.

Top 10 peaks for 10 to 90 degrees two-theta, most intense first:
2θ (°)	Rel. int.
26.67	100
34.38	50
52.21	43
39.46	26
66.45	21
52.31	14
65.95	12
59.08	12
54.86	9
55.04	8

```
24
Lattice="3.337 -3.347 0.000 3.337 3.347 0.000 -0.012 0.000 12.510" Properties=species:S:1:pos:R:3 pbc="T T T"
V 0.000 0.000 0.000
V 3.331 3.313 3.135
V 3.331 3.313 9.375
V 3.126 0.240 10.946
V 3.137 0.140 4.692
V 3.536 0.240 1.565
V 3.525 0.140 7.818
V 3.331 -3.013 6.255
O 1.207 0.147 4.697
O 1.215 0.130 10.941
O 3.337 1.441 0.000
O 3.334 1.388 3.149
O 3.328 1.388 9.361
O 3.331 -1.079 6.255
O 5.446 0.130 1.569
O 5.454 0.147 7.814
F 1.389 0.143 7.818
F 1.404 0.070 1.566
F 3.331 1.531 6.255
F 3.337 -1.196 0.000
F 3.326 -1.237 3.117
F 3.336 -1.237 9.394
F 5.273 0.143 4.693
F 5.258 0.070 10.944
```

This entry pairs a crystal structure of Li6Co6O5F11 with its simulated powder diffractogram. Radiation: Cu Ka. Structure: a crystal structure in the Materials Project, relaxed with GGA+U.
No peak broadening, texture or thermal motion is included.

Top 10 peaks for 10 to 90 degrees two-theta, most intense first:
2θ (°)	Rel. int.
17.96	100
42.70	56
61.46	43
18.14	30
35.24	30
42.04	30
34.65	15
17.41	12
56.24	11
34.94	10

```
28
Lattice="5.250 -2.972 0.000 5.250 2.972 0.000 -3.569 0.000 9.884" Properties=species:S:1:pos:R:3 pbc="T T T"
Li 0.000 0.000 0.000
Li 0.112 0.000 3.777
Li 3.487 0.000 5.070
Li 5.264 0.000 1.950
Li 3.500 0.000 8.703
Li 6.935 0.000 4.468
Co 2.590 1.621 1.880
Co -1.655 0.000 6.866
Co 0.778 1.324 6.876
Co 0.008 0.000 9.132
Co 0.778 -1.324 6.876
Co 2.590 -1.621 1.880
O 0.010 0.000 5.689
O 1.628 0.000 8.100
O 4.447 1.570 8.094
O 7.070 0.000 0.835
O 4.447 -1.570 8.094
F 2.529 1.593 5.696
F 1.872 0.000 0.722
F 4.302 1.379 0.771
F 3.383 0.000 2.934
F 6.254 1.404 3.114
F 4.302 -1.379 0.771
F 2.529 -1.593 5.696
F 5.355 0.000 5.698
F 6.966 0.000 7.937
F 6.254 -1.404 3.114
F 8.726 0.000 3.191
```

This entry pairs a crystal structure of Li5Mn4O8 with its simulated powder diffractogram. Radiation: Cu Ka. Structure: a crystal structure in the Materials Project, relaxed with GGA+U.
No peak broadening, texture or thermal motion is included.

Top 10 peaks for 10 to 90 degrees two-theta, most intense first:
2θ (°)	Rel. int.
17.80	100
43.84	76
37.09	62
17.52	41
59.12	31
58.36	26
35.63	22
36.04	20
31.68	17
64.15	13

```
34
Lattice="5.627 -2.904 0.000 5.627 2.904 0.000 -5.288 0.000 10.125" Properties=species:S:1:pos:R:3 pbc="T T T"
Li -0.371 0.000 0.946
Li 1.491 0.000 2.531
Li 4.305 1.452 2.531
Li 1.661 1.452 7.594
Li 3.355 0.000 4.116
Li 2.612 0.000 6.009
Li 4.305 -1.452 2.531
Li 1.661 -1.452 7.594
Li 4.475 0.000 7.594
Li 6.338 0.000 9.179
Mn -2.644 0.000 5.062
Mn 2.813 1.452 0.000
Mn 0.170 1.452 5.062
Mn -1.157 0.000 7.586
Mn 2.813 -1.452 0.000
Mn 0.170 -1.452 5.062
Mn 5.627 0.000 0.000
Mn 7.123 0.000 2.539
O 2.270 1.507 3.879
O -0.494 0.000 3.871
O -3.088 0.000 8.876
O -0.375 1.396 8.942
O 3.697 1.507 6.246
O 0.783 0.000 6.312
O 3.478 0.000 1.192
O 6.342 1.396 1.183
O -0.375 -1.396 8.942
O 2.488 0.000 8.933
O 5.183 0.000 3.813
O 2.270 -1.507 3.879
O 6.342 -1.396 1.183
O 9.054 0.000 1.249
O 6.461 0.000 6.253
O 3.697 -1.507 6.246
```

This entry pairs a crystal structure of LiFePHO5 with its simulated powder diffractogram. Radiation: Cu Ka. Structure: a crystal structure in the Materials Project, relaxed with GGA+U.
No peak broadening, texture or thermal motion is included.

Top 10 peaks for 10 to 90 degrees two-theta, most intense first:
2θ (°)	Rel. int.
26.71	100
28.97	84
26.47	75
18.74	53
17.60	41
35.86	38
18.49	31
22.26	30
25.70	27
25.55	26

```
18
Lattice="5.166 0.000 0.000 -0.771 5.371 0.000 -2.369 -2.430 6.593" Properties=species:S:1:pos:R:3 pbc="T T T"
Li 0.210 1.353 2.122
Li 1.816 1.588 4.472
Fe 2.583 0.000 0.000
Fe 1.399 -1.215 3.297
P -1.101 0.164 4.836
P 3.127 2.776 1.757
H -0.370 4.652 1.079
H 2.395 -1.711 5.515
O -0.914 3.007 2.809
O -1.509 1.491 5.537
O -1.064 -1.026 5.820
O 1.189 -0.271 1.489
O 0.260 0.334 4.092
O 1.765 2.607 2.501
O 0.837 3.211 5.104
O 3.090 3.966 0.773
O 3.535 1.450 1.057
O 2.940 -0.067 3.784
```

This entry pairs a crystal structure of FeOF with its simulated powder diffractogram. Radiation: Cu Ka. Structure: a crystal structure in the Materials Project, relaxed with GGA+U.
No peak broadening, texture or thermal motion is included.

Top 10 peaks for 10 to 90 degrees two-theta, most intense first:
2θ (°)	Rel. int.
25.82	100
51.31	29
50.93	28
34.26	26
34.08	26
38.97	20
53.09	16
65.83	12
59.40	11
65.15	10

```
18
Lattice="4.922 0.000 0.000 0.000 3.113 0.000 -0.012 0.000 14.514" Properties=species:S:1:pos:R:3 pbc="T T T"
Fe 0.000 0.000 0.000
Fe -0.004 0.000 4.897
Fe 2.044 1.556 2.458
Fe 2.065 1.556 7.365
Fe 2.094 1.556 12.160
Fe 4.572 0.000 9.432
O 0.529 1.556 8.734
O 0.686 1.556 13.595
O 0.790 1.556 4.011
O 1.289 0.000 6.377
O 1.297 0.000 1.562
O 3.035 0.000 8.187
F 1.138 0.000 11.065
F 3.203 0.000 13.070
F 3.253 0.000 3.396
F 3.593 1.556 10.654
F 3.738 1.556 0.963
F 3.768 1.556 5.772
```

This entry pairs a crystal structure of BaSrYCrO6 with its simulated powder diffractogram. Radiation: Cu Ka. Structure: a crystal structure in the Materials Project, relaxed with GGA+U.
No peak broadening, texture or thermal motion is included.

Top 10 peaks for 10 to 90 degrees two-theta, most intense first:
2θ (°)	Rel. int.
30.58	100
54.36	38
43.80	34
88.50	21
63.67	20
72.27	17
37.69	10
80.48	6
18.59	5
36.03	4

```
10
Lattice="0.000 4.134 4.134 4.134 0.000 4.134 4.134 4.134 0.000" Properties=species:S:1:pos:R:3 pbc="T T T"
Ba 0.000 0.000 0.000
Sr 4.134 4.134 4.134
Y 2.067 2.067 2.067
Cr 6.201 6.201 6.201
O 6.201 6.201 4.294
O 6.201 4.294 6.201
O 8.107 6.201 6.201
O 4.294 6.201 6.201
O 6.201 8.107 6.201
O 6.201 6.201 8.107
```

This entry pairs a crystal structure of AlNi3O6 with its simulated powder diffractogram. Radiation: Cu Ka. Structure: a crystal structure in the Materials Project, relaxed with GGA+U.
No peak broadening, texture or thermal motion is included.

Top 10 peaks for 10 to 90 degrees two-theta, most intense first:
2θ (°)	Rel. int.
18.85	100
44.28	90
36.45	65
18.59	37
64.78	36
64.05	35
36.59	31
36.18	30
38.23	22
58.65	18

```
40
Lattice="4.987 -2.878 0.000 4.987 2.878 0.000 -0.001 0.000 14.316" Properties=species:S:1:pos:R:3 pbc="T T T"
Al 0.001 0.000 1.863
Al 9.972 0.000 12.453
Al 3.324 0.000 6.408
Al 6.649 0.000 7.908
Ni -0.001 0.000 7.158
Ni 2.494 1.439 0.000
Ni 1.689 0.000 9.511
Ni 4.143 1.414 9.510
Ni 3.325 0.000 11.873
Ni 5.831 1.414 4.807
Ni 2.494 -1.439 0.000
Ni 4.987 0.000 0.000
Ni 4.143 -1.414 9.510
Ni 6.648 0.000 2.443
Ni 5.831 -1.414 4.807
Ni 8.284 0.000 4.805
O 0.000 0.000 3.627
O 9.973 0.000 10.690
O 2.602 1.250 10.567
O 1.600 0.000 5.851
O 4.187 1.494 5.853
O 1.709 0.000 13.087
O 4.128 1.393 13.080
O 5.787 1.494 8.463
O 3.326 0.000 0.846
O 3.325 0.000 8.185
O 5.845 1.393 1.236
O 2.602 -1.250 10.567
O 4.776 0.000 10.558
O 5.197 0.000 3.759
O 7.372 1.250 3.750
O 4.128 -1.393 13.080
O 6.649 0.000 6.131
O 6.647 0.000 13.470
O 4.187 -1.494 5.853
O 5.845 -1.393 1.236
O 8.265 0.000 1.229
O 5.787 -1.494 8.463
O 8.374 0.000 8.465
O 7.372 -1.250 3.750
```

This entry pairs a crystal structure of MgMn6O11F with its simulated powder diffractogram. Radiation: Cu Ka. Structure: a crystal structure in the Materials Project, relaxed with GGA+U.
No peak broadening, texture or thermal motion is included.

Top 10 peaks for 10 to 90 degrees two-theta, most intense first:
2θ (°)	Rel. int.
23.07	100
27.94	63
35.69	37
36.05	30
49.84	25
55.13	25
64.30	18
49.02	18
64.02	16
54.36	14

```
19
Lattice="7.715 0.000 0.000 0.000 2.909 0.000 -3.494 0.000 9.579" Properties=species:S:1:pos:R:3 pbc="T T T"
Mg 0.000 0.000 0.000
Mn -1.451 0.000 7.920
Mn 2.407 1.454 1.654
Mn 2.323 0.000 4.784
Mn 1.854 1.454 7.891
Mn 5.664 0.000 1.638
Mn 5.679 1.454 4.797
O -2.787 1.454 8.227
O -1.781 0.000 6.033
O 2.032 0.000 0.397
O -0.224 1.454 7.840
O 2.146 0.000 2.881
O 2.210 0.000 6.690
O 4.450 1.454 1.688
O 3.541 1.454 4.774
O 2.194 0.000 9.163
O 5.914 0.000 3.543
O 7.013 1.454 1.352
F 0.984 1.454 4.796
```